Diffraction record for Ba2CaI6. The powder diffractogram is simulated, not measured: it uses the PBE geometry in Alexandria and a wavelength of 1.5418 Å.
No peak broadening, texture or thermal motion is included.

Atomic structure:
```
Ba2CaI6
1.0
8.2983 0.0000 0.0000
0.0000 8.2983 0.0000
0.0000 0.0000 24.6348
Ba Ca I
8 4 24
Direct
0.0000 0.0000 0.1658 Ba
0.0000 0.0000 0.8342 Ba
0.0000 0.5000 0.3362 Ba
0.0000 0.5000 0.6638 Ba
0.5000 0.0000 0.3362 Ba
0.5000 0.0000 0.6638 Ba
0.5000 0.5000 0.1658 Ba
0.5000 0.5000 0.8342 Ba
0.0000 0.0000 0.5000 Ca
0.0000 0.5000 0.0000 Ca
0.5000 0.0000 0.0000 Ca
0.5000 0.5000 0.5000 Ca
0.1990 0.2003 0.5813 I
0.2003 0.8010 0.4187 I
0.2009 0.2978 0.9172 I
0.2022 0.2991 0.0828 I
0.2413 0.7504 0.7490 I
0.2496 0.2413 0.2510 I
0.2504 0.7413 0.2510 I
0.2587 0.2504 0.7490 I
0.2978 0.7991 0.0828 I
0.2991 0.7978 0.9172 I
0.2997 0.3010 0.4187 I
0.3010 0.7003 0.5813 I
0.6990 0.2997 0.5813 I
0.7003 0.6990 0.4187 I
0.7009 0.2022 0.9172 I
0.7022 0.2009 0.0828 I
0.7413 0.7496 0.7490 I
0.7496 0.2587 0.2510 I
0.7504 0.7587 0.2510 I
0.7587 0.2496 0.7490 I
0.7978 0.7009 0.0828 I
0.7991 0.7022 0.9172 I
0.7997 0.1990 0.4187 I
0.8010 0.7997 0.5813 I
```

Peak list (6 most intense, 10 to 80 degrees two-theta, by intensity)
| d/Å | 2theta | I (rel.) | index |
| --- | --- | --- | --- |
| 2.918 | 30.6 | 100 | 2 0 6 |
| 2.934 | 30.5 | 43 | 2 2 0 |
| 4.774 | 18.6 | 35 | 1 1 3 |
| 1.691 | 54.2 | 20 | 4 2 6 |
| 1.682 | 54.5 | 18 | 2 2 12 |
| 4.149 | 21.4 | 17 | 2 0 0 |